Entry 1:
# Mg14NbNi
Theoretical powder X-ray diffraction pattern, copper Kα. Input: a cell relaxed with PBE.

Atomic structure:
```
Mg14NbNi
1.0
6.261 0.000 0.000
-3.131 5.422 0.000
0.000 0.000 9.825
Mg Nb Ni
14 1 1
direct
0.000 0.000 0.245
0.000 0.000 0.755
0.019 0.509 0.256
0.019 0.509 0.744
0.331 0.165 0.500
0.340 0.170 0.000
0.491 0.509 0.256
0.491 0.509 0.744
0.491 0.981 0.256
0.491 0.981 0.744
0.830 0.170 0.000
0.830 0.660 0.000
0.835 0.165 0.500
0.835 0.669 0.500
0.333 0.667 0.000
0.333 0.667 0.500
```

The 12 most intense peaks (2θ = 5–70°), low angle first:
Position (°2θ), intensity
16.3, 29
18.1, 6
24.5, 15
28.5, 7
33.0, 28
34.0, 8
36.6, 24
37.9, 100
48.1, 8
50.1, 16
59.0, 18
66.7, 17

Entry 2:
# Ho12In3Fe2
Theoretical powder X-ray diffraction pattern, copper Kα. Input: a cell relaxed with PBE.

Atomic structure:
```
Ho12In3Fe2
1.0
-4.804 4.804 4.957
4.804 -4.804 4.957
4.804 4.804 -4.957
Ho In Fe
12 3 2
direct
0.040 0.792 0.248
0.208 0.456 0.248
0.208 0.960 0.752
0.305 0.305 0.610
0.305 0.695 0.000
0.456 0.208 0.248
0.544 0.792 0.752
0.695 0.305 0.000
0.695 0.695 0.390
0.792 0.040 0.248
0.792 0.544 0.752
0.960 0.208 0.752
0.000 0.000 0.000
0.000 0.500 0.500
0.500 0.000 0.500
0.389 0.389 0.000
0.611 0.611 0.000
```

The 12 most intense peaks (2θ = 5–70°), low angle first:
Position (°2θ), intensity
28.6, 10
29.3, 21
31.9, 100
34.2, 31
34.9, 15
36.2, 12
37.4, 33
54.0, 10
54.4, 12
58.0, 8
58.8, 12
64.1, 13

Entry 3:
# CeMg6Cu
Theoretical powder X-ray diffraction pattern, copper Kα. Input: a cell relaxed with PBE.

Atomic structure:
```
CeMg6Cu
1.0
4.939 0.000 0.000
0.000 3.172 5.933
0.000 -3.172 5.933
Ce Mg Cu
1 6 1
direct
0.000 0.000 0.000
0.000 0.470 0.470
0.000 0.483 0.991
0.000 0.991 0.483
0.500 0.132 0.622
0.500 0.622 0.132
0.500 0.630 0.630
0.500 0.157 0.157
```

The 12 most intense peaks (2θ = 5–70°), low angle first:
Position (°2θ), intensity
14.9, 23
15.8, 93
23.4, 40
24.0, 36
32.0, 43
32.2, 47
35.3, 74
36.4, 41
36.9, 100
39.9, 19
49.2, 25
65.8, 20

Entry 4:
# CeSe2
Theoretical powder X-ray diffraction pattern, copper Kα. Input: a cell relaxed with PBE.

Atomic structure:
```
CeSe2
1.0
15.506 8.952 4.216
-15.506 8.952 4.216
0.000 -17.905 4.216
Ce Se
12 24
direct
0.008 0.409 0.583
0.063 0.661 0.488
0.083 0.909 0.508
0.161 0.563 0.987
0.409 0.583 0.008
0.488 0.063 0.661
0.508 0.083 0.909
0.563 0.987 0.161
0.583 0.008 0.409
0.661 0.488 0.063
0.909 0.508 0.083
0.987 0.161 0.563
0.005 0.565 0.285
0.016 0.785 0.554
0.035 0.035 0.535
0.035 0.535 0.035
0.035 0.535 0.535
0.054 0.285 0.516
0.065 0.505 0.785
0.199 0.372 0.786
0.285 0.005 0.565
0.285 0.516 0.054
0.285 0.871 0.698
0.372 0.786 0.199
0.505 0.785 0.065
0.516 0.054 0.285
0.535 0.035 0.035
0.535 0.035 0.535
0.535 0.535 0.035
0.554 0.016 0.785
0.565 0.285 0.005
0.698 0.285 0.871
0.785 0.065 0.505
0.785 0.554 0.016
0.786 0.199 0.372
0.871 0.698 0.285
```

The 12 most intense peaks (2θ = 5–70°), low angle first:
Position (°2θ), intensity
5.7, 100
9.9, 18
11.2, 9
14.4, 4
15.5, 13
17.2, 4
18.4, 7
20.7, 7
24.9, 4
26.3, 4
29.3, 4
40.3, 5

Entry 5:
# UCoSn
Theoretical powder X-ray diffraction pattern, copper Kα. Input: a cell relaxed with PBE.

Atomic structure:
```
UCoSn
1.0
7.047 0.000 0.000
-3.524 6.103 0.000
0.000 0.000 4.048
U Co Sn
3 3 3
direct
0.000 0.582 0.000
0.418 0.418 0.000
0.582 0.000 0.000
0.000 0.000 0.000
0.333 0.667 0.500
0.667 0.333 0.500
0.000 0.251 0.500
0.251 0.000 0.500
0.749 0.749 0.500
```

The 12 most intense peaks (2θ = 5–70°), low angle first:
Position (°2θ), intensity
25.3, 16
26.4, 10
29.3, 17
33.7, 100
36.9, 82
39.0, 48
44.5, 13
44.8, 24
54.2, 18
59.2, 33
60.9, 27
65.0, 8

Entry 6:
# ThTi2O6
Theoretical powder X-ray diffraction pattern, copper Kα. Input: a cell relaxed with PBE.

Atomic structure:
```
ThTi2O6
1.0
5.446 -4.323 0.000
5.446 4.323 0.000
-2.205 0.000 4.749
Th Ti O
2 4 12
direct
0.189 0.811 0.750
0.811 0.189 0.250
0.188 0.351 0.060
0.351 0.188 0.560
0.649 0.812 0.440
0.812 0.649 0.940
0.094 0.178 0.651
0.117 0.602 0.966
0.178 0.094 0.151
0.271 0.450 0.467
0.398 0.883 0.534
0.450 0.271 0.967
0.550 0.729 0.033
0.602 0.117 0.466
0.729 0.550 0.533
0.822 0.906 0.849
0.883 0.398 0.034
0.906 0.822 0.349
```

The 12 most intense peaks (2θ = 5–70°), low angle first:
Position (°2θ), intensity
13.6, 39
18.0, 20
19.9, 64
26.1, 100
27.4, 60
27.7, 86
27.9, 41
28.6, 20
32.4, 30
34.3, 26
41.6, 24
52.7, 25

Entry 7:
# CsHfMg14O15
Theoretical powder X-ray diffraction pattern, copper Kα. Input: a cell relaxed with PBE.

Atomic structure:
```
CsHfMg14O15
1.0
4.329 0.000 0.000
0.000 8.977 0.000
0.000 0.000 9.057
Cs Hf Mg O
1 1 14 15
direct
0.000 0.000 0.000
0.000 0.500 0.555
0.000 0.000 0.564
0.000 0.235 0.307
0.000 0.267 0.813
0.000 0.500 0.082
0.000 0.733 0.813
0.000 0.765 0.307
0.500 0.000 0.325
0.500 0.000 0.774
0.500 0.244 0.557
0.500 0.254 0.078
0.500 0.500 0.307
0.500 0.500 0.833
0.500 0.746 0.078
0.500 0.756 0.557
0.000 0.000 0.344
0.000 0.266 0.556
0.000 0.282 0.076
0.000 0.500 0.321
0.000 0.500 0.801
0.000 0.718 0.076
0.000 0.734 0.556
0.500 0.000 0.114
0.500 0.000 0.552
0.500 0.257 0.817
0.500 0.258 0.321
0.500 0.500 0.069
0.500 0.500 0.559
0.500 0.742 0.321
0.500 0.743 0.817
```

The 12 most intense peaks (2θ = 5–70°), low angle first:
Position (°2θ), intensity
13.9, 100
19.6, 29
19.8, 27
24.9, 72
28.0, 27
28.5, 26
35.0, 71
39.8, 42
40.2, 59
41.7, 61
59.0, 30
59.3, 36

Entry 8:
# ZnP4H16N2O16
Theoretical powder X-ray diffraction pattern, copper Kα. Input: a cell relaxed with PBE.

Atomic structure:
```
ZnP4H16N2O16
1.0
7.148 0.000 0.000
0.032 7.419 0.000
2.540 1.251 7.309
Zn P H N O
1 4 16 2 16
direct
0.000 0.000 0.000
0.165 0.246 0.257
0.246 0.717 0.742
0.754 0.283 0.258
0.835 0.754 0.743
0.120 0.202 0.652
0.122 0.334 0.794
0.242 0.479 0.023
0.324 0.893 0.176
0.356 0.665 0.189
0.426 0.782 0.329
0.434 0.226 0.423
0.445 0.183 0.900
0.555 0.817 0.100
0.566 0.774 0.577
0.574 0.218 0.671
0.644 0.335 0.811
0.676 0.107 0.824
0.758 0.521 0.977
0.878 0.666 0.206
0.880 0.798 0.348
0.416 0.789 0.198
0.584 0.211 0.802
0.059 0.221 0.781
0.071 0.738 0.651
0.202 0.116 0.119
0.232 0.520 0.841
0.237 0.191 0.419
0.240 0.863 0.857
0.254 0.443 0.155
0.429 0.749 0.560
0.571 0.251 0.440
0.746 0.557 0.845
0.760 0.137 0.143
0.763 0.809 0.581
0.768 0.480 0.159
0.798 0.884 0.881
0.929 0.262 0.349
0.941 0.779 0.219
```

The 12 most intense peaks (2θ = 5–70°), low angle first:
Position (°2θ), intensity
12.1, 62
13.1, 68
14.7, 32
15.6, 36
18.6, 100
24.3, 42
25.3, 87
27.7, 48
28.5, 36
29.1, 18
29.6, 18
33.7, 33